For Bi2IrOs2, a GGA-PBE-relaxed structure gives the calculated powder diffraction line list in this record (λ = 1.5418 Å (Cu Kα)).
No peak broadening, texture or thermal motion is included.

Most intense lines, 2θ = 10–90°, in order of rising 2θ:
two_theta, I (rel.)
33.30, 41
35.90, 100
37.43, 10
40.99, 27
42.04, 32
59.92, 11
60.17, 22
71.35, 14
74.36, 11
78.92, 9

Structural model:
a b c (Å): 6.796 6.796 4.404
angles (deg): 90.00 90.00 90.00
Fractional coordinates of all 10 atoms:
1 Bi 0.181 0.319 0.000
2 Bi 0.319 0.819 0.000
3 Bi 0.681 0.181 0.000
4 Bi 0.819 0.681 0.000
5 Ir 0.000 0.000 0.500
6 Ir 0.500 0.500 0.500
7 Os 0.127 0.627 0.500
8 Os 0.373 0.127 0.500
9 Os 0.627 0.873 0.500
10 Os 0.873 0.373 0.500

For Bi3IrOs, a GGA-PBE-relaxed structure gives the calculated powder diffraction line list in this record (λ = 1.5418 Å (Cu Kα)).
No peak broadening, texture or thermal motion is included.

Most intense lines, 2θ = 10–90°, in order of rising 2θ:
two_theta, I (rel.)
16.91, 24
24.01, 14
29.51, 75
34.21, 100
38.40, 13
49.16, 74
58.38, 34
61.25, 26
79.73, 15
82.24, 35

Structural model:
a b c (Å): 5.242 5.242 5.242
angles (deg): 90.00 90.00 90.00
Fractional coordinates of all 5 atoms:
1 Bi 0.000 0.000 0.500
2 Bi 0.000 0.500 0.000
3 Bi 0.500 0.000 0.000
4 Ir 0.000 0.000 0.000
5 Os 0.500 0.500 0.500

For BiIrOsPd, a GGA-PBE-relaxed structure gives the calculated powder diffraction line list in this record (λ = 1.5418 Å (Cu Kα)).
No peak broadening, texture or thermal motion is included.

Most intense lines, 2θ = 10–90°, in order of rising 2θ:
two_theta, I (rel.)
12.79, 19
25.73, 13
35.93, 100
39.77, 93
40.49, 72
50.52, 27
63.97, 12
66.66, 34
68.17, 17
75.61, 24

Structural model:
a b c (Å): 2.911 3.613 6.924
angles (deg): 90.00 90.00 90.00
Fractional coordinates of all 4 atoms:
1 Bi 0.000 0.000 0.000
2 Ir 0.000 0.000 0.482
3 Os 0.500 0.500 0.314
4 Pd 0.500 0.500 0.723

For Bi3IrPb, a GGA-PBE-relaxed structure gives the calculated powder diffraction line list in this record (λ = 1.5418 Å (Cu Kα)).
No peak broadening, texture or thermal motion is included.

Most intense lines, 2θ = 10–90°, in order of rising 2θ:
two_theta, I (rel.)
23.96, 23
26.99, 26
27.61, 39
30.39, 28
31.36, 62
33.62, 100
36.26, 23
37.79, 19
38.99, 44
43.16, 19

Structural model:
a b c (Å): 6.493 6.608 8.998
angles (deg): 90.00 130.27 90.00
Fractional coordinates of all 10 atoms:
1 Bi 0.000 0.147 0.000
2 Bi 0.000 0.853 0.500
3 Bi 0.376 0.260 0.806
4 Bi 0.376 0.740 0.306
5 Bi 0.907 0.327 0.308
6 Bi 0.907 0.673 0.808
7 Ir 0.363 0.435 0.082
8 Ir 0.363 0.565 0.582
9 Pb 0.554 0.251 0.464
10 Pb 0.554 0.749 0.964

For BiIr2Pd, a GGA-PBE-relaxed structure gives the calculated powder diffraction line list in this record (λ = 1.5418 Å (Cu Kα)).
No peak broadening, texture or thermal motion is included.

Most intense lines, 2θ = 10–90°, in order of rising 2θ:
two_theta, I (rel.)
37.14, 100
38.18, 46
39.45, 42
43.53, 64
45.36, 29
63.80, 21
65.56, 29
74.21, 14
75.03, 13
77.00, 12

Structural model:
a b c (Å): 4.834 3.042 4.988
angles (deg): 90.00 109.08 90.00
Fractional coordinates of all 4 atoms:
1 Bi 0.000 0.000 0.000
2 Ir 0.000 0.500 0.500
3 Ir 0.500 0.000 0.500
4 Pd 0.500 0.500 0.000

For PmBiIrPd, a GGA-PBE-relaxed structure gives the calculated powder diffraction line list in this record (λ = 1.5418 Å (Cu Kα)).
No peak broadening, texture or thermal motion is included.

Most intense lines, 2θ = 10–90°, in order of rising 2θ:
two_theta, I (rel.)
22.03, 5
36.36, 100
42.92, 3
52.36, 18
57.48, 1
65.42, 37
69.94, 1
77.21, 11
81.47, 1
88.47, 17

Structural model:
a b c (Å): 6.989 6.989 6.989
angles (deg): 90.00 90.00 90.00
Fractional coordinates of all 16 atoms:
1 Pm 0.000 0.000 0.000
2 Pm 0.000 0.500 0.500
3 Pm 0.500 0.000 0.500
4 Pm 0.500 0.500 0.000
5 Bi 0.000 0.000 0.500
6 Bi 0.000 0.500 0.000
7 Bi 0.500 0.000 0.000
8 Bi 0.500 0.500 0.500
9 Ir 0.250 0.250 0.250
10 Ir 0.250 0.750 0.750
11 Ir 0.750 0.250 0.750
12 Ir 0.750 0.750 0.250
13 Pd 0.250 0.250 0.750
14 Pd 0.250 0.750 0.250
15 Pd 0.750 0.250 0.250
16 Pd 0.750 0.750 0.750

For Pm6BiIr3, a GGA-PBE-relaxed structure gives the calculated powder diffraction line list in this record (λ = 1.5418 Å (Cu Kα)).
No peak broadening, texture or thermal motion is included.

Most intense lines, 2θ = 10–90°, in order of rising 2θ:
two_theta, I (rel.)
28.39, 44
28.58, 100
30.15, 69
30.86, 45
31.68, 71
33.88, 56
39.54, 57
40.27, 42
42.20, 80
43.04, 50

Structural model:
a b c (Å): 11.809 4.283 12.158
angles (deg): 90.00 107.31 90.00
Fractional coordinates of all 20 atoms:
1 Pm 0.029 0.250 0.395
2 Pm 0.109 0.250 0.953
3 Pm 0.204 0.750 0.266
4 Pm 0.281 0.750 0.771
5 Pm 0.355 0.250 0.542
6 Pm 0.424 0.750 0.089
7 Pm 0.576 0.250 0.911
8 Pm 0.645 0.750 0.458
9 Pm 0.719 0.250 0.229
10 Pm 0.796 0.250 0.734
11 Pm 0.891 0.750 0.047
12 Pm 0.971 0.750 0.605
13 Bi 0.442 0.250 0.308
14 Bi 0.558 0.750 0.692
15 Ir 0.040 0.250 0.167
16 Ir 0.182 0.750 0.506
17 Ir 0.342 0.250 0.925
18 Ir 0.658 0.750 0.075
19 Ir 0.818 0.250 0.494
20 Ir 0.960 0.750 0.833

For Pm5BiIr, a GGA-PBE-relaxed structure gives the calculated powder diffraction line list in this record (λ = 1.5418 Å (Cu Kα)).
No peak broadening, texture or thermal motion is included.

Most intense lines, 2θ = 10–90°, in order of rising 2θ:
two_theta, I (rel.)
16.57, 35
26.14, 37
29.92, 68
30.15, 100
30.29, 45
31.55, 89
32.68, 36
35.83, 30
41.05, 36
47.20, 41

Structural model:
a b c (Å): 6.627 6.627 11.677
angles (deg): 104.06 104.06 65.01
Fractional coordinates of all 14 atoms:
1 Pm 0.026 0.406 0.640
2 Pm 0.027 0.973 0.750
3 Pm 0.214 0.544 0.962
4 Pm 0.406 0.026 0.140
5 Pm 0.456 0.786 0.538
6 Pm 0.544 0.214 0.462
7 Pm 0.594 0.974 0.860
8 Pm 0.786 0.456 0.038
9 Pm 0.973 0.027 0.250
10 Pm 0.974 0.594 0.360
11 Bi 0.467 0.533 0.250
12 Bi 0.533 0.467 0.750
13 Ir 0.000 0.000 0.000
14 Ir 0.000 0.000 0.500

What is the formula in the first record? Bi2IrOs2